Entry 1:
Er7MgAl4: computed powder XRD pattern (Cu Ka), based on a structure optimized by DFT (GGA-PBE).
Neutral-atom scattering factors, no anomalous dispersion.

The 8 most intense peaks (2θ from 10° to 90°), in order of rising 2θ:
d = 3.925 Å, I = 296
d = 3.516 Å, I = 328
d = 2.868 Å, I = 325
d = 2.801 Å, I = 299
d = 2.776 Å, I = 1000
d = 2.652 Å, I = 382
d = 2.433 Å, I = 402
d = 1.962 Å, I = 290

Atomic structure:
a = 7.4641 Å, b = 7.4641 Å, c = 9.2333 Å
α = 117.21°, β = 117.21°, γ = 43.70°
Atoms (fractional coordinates):
Er1 0.0000 0.0000 0.0000
Er2 0.2460 0.2460 0.7096
Er3 0.3059 0.3059 0.1293
Er4 0.4173 0.4173 0.5748
Er5 0.5827 0.5827 0.4252
Er6 0.6941 0.6941 0.8707
Er7 0.7540 0.7540 0.2904
Mg1 0.5000 0.5000 0.0000
Al1 0.0269 0.0269 0.6722
Al2 0.1732 0.1732 0.3404
Al3 0.8268 0.8268 0.6596
Al4 0.9731 0.9731 0.3278

Entry 2:
Er4Mg5Al2: computed powder XRD pattern (Cu Ka), based on a structure optimized by DFT (GGA-PBE).
Neutral-atom scattering factors, no anomalous dispersion.

The 8 most intense peaks (2θ from 10° to 90°), in order of rising 2θ:
d = 4.404 Å, I = 765
d = 4.122 Å, I = 531
d = 2.713 Å, I = 822
d = 2.643 Å, I = 739
d = 2.604 Å, I = 1000
d = 2.490 Å, I = 519
d = 2.358 Å, I = 532
d = 1.678 Å, I = 611

Atomic structure:
a = 7.9622 Å, b = 3.4432 Å, c = 10.1100 Å
α = 90.00°, β = 94.18°, γ = 90.00°
Atoms (fractional coordinates):
Er1 0.1568 0.0000 0.3757
Er2 0.2653 0.0000 0.9439
Er3 0.7347 0.0000 0.0561
Er4 0.8432 0.0000 0.6243
Mg1 0.1914 0.5000 0.6642
Mg2 0.4284 0.5000 0.2015
Mg3 0.5000 0.5000 0.5000
Mg4 0.5716 0.5000 0.7985
Mg5 0.8086 0.5000 0.3358
Al1 0.0557 0.5000 0.1288
Al2 0.9443 0.5000 0.8712

Entry 3:
Er4MgAl2: computed powder XRD pattern (Cu Ka), based on a structure optimized by DFT (GGA-PBE).
Neutral-atom scattering factors, no anomalous dispersion.

The 8 most intense peaks (2θ from 10° to 90°), in order of rising 2θ:
d = 6.412 Å, I = 482
d = 4.030 Å, I = 502
d = 2.904 Å, I = 1000
d = 2.884 Å, I = 374
d = 2.871 Å, I = 466
d = 2.741 Å, I = 759
d = 2.604 Å, I = 666
d = 2.481 Å, I = 368

Atomic structure:
a = 7.1500 Å, b = 6.4543 Å, c = 8.6629 Å
α = 90.00°, β = 111.49°, γ = 90.00°
Atoms (fractional coordinates):
Er1 0.0394 0.2500 0.4101
Er2 0.1051 0.7500 0.2666
Er3 0.3956 0.0133 0.7664
Er4 0.3956 0.4867 0.7664
Er5 0.6044 0.5133 0.2336
Er6 0.6044 0.9867 0.2336
Er7 0.8949 0.2500 0.7334
Er8 0.9606 0.7500 0.5899
Mg1 0.2064 0.2500 0.0975
Mg2 0.7936 0.7500 0.9025
Al1 0.2191 0.7500 0.9676
Al2 0.4801 0.2500 0.4708
Al3 0.5199 0.7500 0.5292
Al4 0.7809 0.2500 0.0324

Entry 4:
Er4MgAl12: computed powder XRD pattern (Cu Ka), based on a structure optimized by DFT (GGA-PBE).
Neutral-atom scattering factors, no anomalous dispersion.

The 8 most intense peaks (2θ from 10° to 90°), in order of rising 2θ:
d = 4.378 Å, I = 802
d = 3.095 Å, I = 1000
d = 2.527 Å, I = 860
d = 2.189 Å, I = 468
d = 1.958 Å, I = 477
d = 1.787 Å, I = 347
d = 1.548 Å, I = 279
d = 1.320 Å, I = 282

Atomic structure:
a = 7.5823 Å, b = 7.5823 Å, c = 7.5823 Å
α = 109.47°, β = 109.47°, γ = 109.47°
Atoms (fractional coordinates):
Er1 0.0000 0.0000 0.5000
Er2 0.0000 0.5000 0.0000
Er3 0.5000 0.0000 0.0000
Er4 0.5000 0.5000 0.5000
Mg1 0.0000 0.0000 0.0000
Al1 0.0000 0.3136 0.3136
Al2 0.0000 0.6864 0.6864
Al3 0.2500 0.5000 0.7500
Al4 0.2500 0.7500 0.5000
Al5 0.3136 0.0000 0.3136
Al6 0.3136 0.3136 0.0000
Al7 0.5000 0.2500 0.7500
Al8 0.5000 0.7500 0.2500
Al9 0.6864 0.0000 0.6864
Al10 0.6864 0.6864 0.0000
Al11 0.7500 0.2500 0.5000
Al12 0.7500 0.5000 0.2500

Entry 5:
Er2MgAl3Pt4: computed powder XRD pattern (Cu Ka), based on a structure optimized by DFT (GGA-PBE).
Neutral-atom scattering factors, no anomalous dispersion.

The 8 most intense peaks (2θ from 10° to 90°), in order of rising 2θ:
d = 3.748 Å, I = 331
d = 3.298 Å, I = 258
d = 2.789 Å, I = 408
d = 2.758 Å, I = 352
d = 2.563 Å, I = 1000
d = 2.036 Å, I = 470
d = 1.968 Å, I = 333
d = 1.415 Å, I = 230

Atomic structure:
a = 4.0719 Å, b = 4.0719 Å, c = 11.2430 Å
α = 90.00°, β = 90.00°, γ = 90.00°
Atoms (fractional coordinates):
Er1 0.0000 0.5000 0.2460
Er2 0.5000 0.0000 0.7540
Mg1 0.0000 0.0000 0.5000
Al1 0.0000 0.5000 0.8708
Al2 0.5000 0.0000 0.1292
Al3 0.5000 0.5000 0.5000
Pt1 0.0000 0.0000 0.0000
Pt2 0.0000 0.5000 0.6508
Pt3 0.5000 0.0000 0.3492
Pt4 0.5000 0.5000 0.0000

Entry 6:
ErMn5Al7: computed powder XRD pattern (Cu Ka), based on a structure optimized by DFT (GGA-PBE).
Neutral-atom scattering factors, no anomalous dispersion.

The 8 most intense peaks (2θ from 10° to 90°), in order of rising 2θ:
d = 6.157 Å, I = 492
d = 4.307 Å, I = 296
d = 3.079 Å, I = 252
d = 3.062 Å, I = 597
d = 2.498 Å, I = 186
d = 2.184 Å, I = 275
d = 2.171 Å, I = 1000
d = 2.155 Å, I = 706

Atomic structure:
a = 6.6376 Å, b = 6.6376 Å, c = 6.6376 Å
α = 136.14°, β = 97.67°, γ = 98.37°
Atoms (fractional coordinates):
Er1 0.0000 0.0000 0.0000
Mn1 0.2287 0.7287 0.5000
Mn2 0.4931 0.0033 0.0109
Mn3 0.4931 0.4822 0.4899
Mn4 0.9923 0.0033 0.5101
Mn5 0.9923 0.4822 0.9891
Al1 0.2096 0.5003 0.7093
Al2 0.3271 0.9854 0.3417
Al3 0.3344 0.3344 0.0000
Al4 0.6438 0.9854 0.6583
Al5 0.6570 0.6570 0.0000
Al6 0.7700 0.2700 0.5000
Al7 0.7910 0.5003 0.2907

Entry 7:
ErMn6Al6: computed powder XRD pattern (Cu Ka), based on a structure optimized by DFT (GGA-PBE).
Neutral-atom scattering factors, no anomalous dispersion.

The 8 most intense peaks (2θ from 10° to 90°), in order of rising 2θ:
d = 6.135 Å, I = 606
d = 3.064 Å, I = 554
d = 3.034 Å, I = 540
d = 2.194 Å, I = 363
d = 2.170 Å, I = 625
d = 2.154 Å, I = 368
d = 2.146 Å, I = 1000
d = 2.135 Å, I = 319

Atomic structure:
a = 6.6117 Å, b = 6.6117 Å, c = 6.6117 Å
α = 136.29°, β = 99.11°, γ = 96.83°
Atoms (fractional coordinates):
Er1 0.0000 0.0000 0.0000
Mn1 0.0000 0.0000 0.5000
Mn2 0.0000 0.5000 0.0000
Mn3 0.2361 0.5000 0.7361
Mn4 0.5000 0.0000 0.0000
Mn5 0.5000 0.5000 0.5000
Mn6 0.7639 0.5000 0.2639
Al1 0.1952 0.6952 0.5000
Al2 0.3376 0.0000 0.3376
Al3 0.3462 0.3462 0.0000
Al4 0.6538 0.6538 0.0000
Al5 0.6624 0.0000 0.6624
Al6 0.8048 0.3048 0.5000

Entry 8:
SrErAl3SiN4O3: computed powder XRD pattern (Cu Ka), based on a structure optimized by DFT (GGA-PBE).
Neutral-atom scattering factors, no anomalous dispersion.

The 8 most intense peaks (2θ from 10° to 90°), in order of rising 2θ:
d = 4.680 Å, I = 501
d = 3.048 Å, I = 700
d = 2.843 Å, I = 926
d = 2.611 Å, I = 1000
d = 2.554 Å, I = 404
d = 1.717 Å, I = 381
d = 1.606 Å, I = 385
d = 1.524 Å, I = 296

Atomic structure:
a = 6.0951 Å, b = 6.0951 Å, c = 10.1225 Å
α = 90.00°, β = 90.00°, γ = 120.00°
Atoms (fractional coordinates):
Sr1 0.3333 0.6667 0.0000
Sr2 0.6667 0.3333 0.5000
Er1 0.3333 0.6667 0.3848
Er2 0.6667 0.3333 0.8848
Al1 0.1653 0.3306 0.6859
Al2 0.1653 0.8347 0.6859
Al3 0.3306 0.1653 0.1859
Al4 0.6694 0.8347 0.6859
Al5 0.8347 0.1653 0.1859
Al6 0.8347 0.6694 0.1859
Si1 0.0000 0.0000 0.4486
Si2 0.0000 0.0000 0.9486
N1 0.0000 0.0000 0.2674
N2 0.0000 0.0000 0.7674
N3 0.1546 0.3093 0.5049
N4 0.1546 0.8454 0.5049
N5 0.3093 0.1546 0.0049
N6 0.6907 0.8454 0.5049
N7 0.8454 0.1546 0.0049
N8 0.8454 0.6907 0.0049
O1 0.0204 0.5102 0.7422
O2 0.4898 0.5102 0.7422
O3 0.4898 0.9796 0.7422
O4 0.5102 0.0204 0.2422
O5 0.5102 0.4898 0.2422
O6 0.9796 0.4898 0.2422

Entry 9:
Sr2Er2Al3Si5N11O3: computed powder XRD pattern (Cu Ka), based on a structure optimized by DFT (GGA-PBE).
Neutral-atom scattering factors, no anomalous dispersion.

The 8 most intense peaks (2θ from 10° to 90°), in order of rising 2θ:
d = 3.742 Å, I = 1000
d = 3.097 Å, I = 824
d = 2.920 Å, I = 323
d = 2.664 Å, I = 485
d = 2.598 Å, I = 509
d = 2.314 Å, I = 335
d = 1.996 Å, I = 371
d = 1.548 Å, I = 328

Atomic structure:
a = 6.1936 Å, b = 6.1936 Å, c = 10.4455 Å
α = 90.00°, β = 90.00°, γ = 120.00°
Atoms (fractional coordinates):
Sr1 0.0000 0.0000 0.0000
Sr2 0.3333 0.6667 0.5162
Er1 0.0000 0.0000 0.5083
Er2 0.3333 0.6667 0.2164
Al1 0.3435 0.1717 0.3031
Al2 0.8283 0.1717 0.3031
Al3 0.8283 0.6565 0.3031
Si1 0.0063 0.5032 0.7990
Si2 0.4968 0.5032 0.7990
Si3 0.4968 0.9937 0.7990
Si4 0.6667 0.3333 0.0812
Si5 0.6667 0.3333 0.5745
N1 0.1579 0.3159 0.3624
N2 0.1579 0.8421 0.3624
N3 0.3664 0.1832 0.1291
N4 0.5200 0.0401 0.6427
N5 0.5200 0.4800 0.6427
N6 0.6667 0.3333 0.4001
N7 0.6667 0.3333 0.8820
N8 0.6841 0.8421 0.3624
N9 0.8168 0.1832 0.1291
N10 0.8168 0.6336 0.1291
N11 0.9599 0.4800 0.6427
O1 0.1923 0.3847 0.8477
O2 0.1923 0.8077 0.8477
O3 0.6153 0.8077 0.8477

Entry 10:
NdEr3Al8: computed powder XRD pattern (Cu Ka), based on a structure optimized by DFT (GGA-PBE).
Neutral-atom scattering factors, no anomalous dispersion.

The 8 most intense peaks (2θ from 10° to 90°), in order of rising 2θ:
d = 4.815 Å, I = 415
d = 4.567 Å, I = 201
d = 4.260 Å, I = 341
d = 2.780 Å, I = 752
d = 2.573 Å, I = 1000
d = 2.375 Å, I = 661
d = 2.328 Å, I = 304
d = 1.562 Å, I = 423

Atomic structure:
a = 5.5604 Å, b = 5.5604 Å, c = 9.1331 Å
α = 90.00°, β = 90.00°, γ = 120.00°
Atoms (fractional coordinates):
Nd1 0.0000 0.0000 0.0000
Er1 0.0000 0.0000 0.3647
Er2 0.6667 0.3333 0.4986
Er3 0.6667 0.3333 0.8625
Al1 0.1622 0.3244 0.6793
Al2 0.1622 0.8378 0.6793
Al3 0.3333 0.6667 0.4339
Al4 0.3333 0.6667 0.9304
Al5 0.5045 0.0090 0.1861
Al6 0.5045 0.4955 0.1861
Al7 0.6756 0.8378 0.6793
Al8 0.9910 0.4955 0.1861

Entry 11:
NdEr4Al3: computed powder XRD pattern (Cu Ka), based on a structure optimized by DFT (GGA-PBE).
Neutral-atom scattering factors, no anomalous dispersion.

The 8 most intense peaks (2θ from 10° to 90°), in order of rising 2θ:
d = 4.287 Å, I = 424
d = 3.728 Å, I = 419
d = 3.266 Å, I = 838
d = 2.799 Å, I = 871
d = 2.776 Å, I = 880
d = 2.390 Å, I = 389
d = 2.322 Å, I = 1000
d = 2.159 Å, I = 477

Atomic structure:
a = 3.3476 Å, b = 8.4750 Å, c = 14.9113 Å
α = 90.00°, β = 90.00°, γ = 90.00°
Atoms (fractional coordinates):
Nd1 0.0000 0.0000 0.0000
Nd2 0.5000 0.5000 0.5000
Er1 0.0000 0.3041 0.1418
Er2 0.0000 0.3041 0.8582
Er3 0.0000 0.6959 0.1418
Er4 0.0000 0.6959 0.8582
Er5 0.5000 0.1959 0.3582
Er6 0.5000 0.1959 0.6418
Er7 0.5000 0.8041 0.3582
Er8 0.5000 0.8041 0.6418
Al1 0.0000 0.0000 0.5000
Al2 0.0000 0.5000 0.3145
Al3 0.0000 0.5000 0.6855
Al4 0.5000 0.0000 0.1855
Al5 0.5000 0.0000 0.8145
Al6 0.5000 0.5000 0.0000

Entry 12:
Nd3ErAl4: computed powder XRD pattern (Cu Ka), based on a structure optimized by DFT (GGA-PBE).
Neutral-atom scattering factors, no anomalous dispersion.

The 8 most intense peaks (2θ from 10° to 90°), in order of rising 2θ:
d = 3.700 Å, I = 199
d = 3.683 Å, I = 396
d = 2.608 Å, I = 1000
d = 2.130 Å, I = 182
d = 1.841 Å, I = 120
d = 1.648 Å, I = 164
d = 1.508 Å, I = 116
d = 1.505 Å, I = 244

Atomic structure:
a = 3.6829 Å, b = 3.6829 Å, c = 14.8004 Å
α = 90.00°, β = 90.00°, γ = 90.00°
Atoms (fractional coordinates):
Nd1 0.0000 0.0000 0.0000
Nd2 0.0000 0.0000 0.2565
Nd3 0.0000 0.0000 0.7435
Er1 0.0000 0.0000 0.5000
Al1 0.5000 0.5000 0.1280
Al2 0.5000 0.5000 0.3875
Al3 0.5000 0.5000 0.6125
Al4 0.5000 0.5000 0.8720